This entry pairs a crystal structure of Tm3Ni8Ru with its calculated powder X-ray diffraction pattern. Radiation: Cu Kα. Structure: a GGA-PBE-relaxed structure.

Principal peaks in the range 5° ≤ 2θ ≤ 70°, low angle first:
2θ (°)  I (rel.)
22.0  11
33.2  9
36.3  61
42.8  100
44.8  18
65.3  19
69.4  7
69.8  27

Structural model:
```
Tm3Ni8Ru
1.0
2.4750 1.4289 8.0915
-2.4750 1.4289 8.0915
0.0000 -2.8579 8.0915
Tm Ni Ru
3 8 1
Direct
0.0000 0.0000 0.0000
0.1311 0.1311 0.1311
0.5203 0.5203 0.5203
0.0701 0.5686 0.5686
0.0715 0.0715 0.5673
0.0715 0.5673 0.0715
0.3192 0.3192 0.3192
0.5673 0.0715 0.0715
0.5686 0.0701 0.5686
0.5686 0.5686 0.0701
0.8199 0.8199 0.8199
0.6434 0.6434 0.6434
```

=====

This entry pairs a crystal structure of Li2Ni5Ge3H2 with its calculated powder X-ray diffraction pattern. Radiation: Cu Kα. Structure: a GGA-PBE-relaxed structure.

Principal peaks in the range 5° ≤ 2θ ≤ 70°, low angle first:
2θ (°)  I (rel.)
8.8  100
24.7  8
27.7  19
39.0  28
44.1  91
44.9  8
49.7  34
54.5  10

Structural model:
```
Li2Ni5Ge3H2
1.0
-1.8348 1.8348 10.0964
1.8348 -1.8348 10.0964
1.8348 1.8348 -10.0964
Li Ni Ge H
2 5 3 2
Direct
0.1969 0.1969 0.0000
0.8031 0.8031 0.0000
0.0000 0.0000 0.0000
0.0910 0.5910 0.5000
0.4090 0.9090 0.5000
0.5910 0.0910 0.5000
0.9090 0.4090 0.5000
0.3290 0.3290 0.0000
0.5000 0.5000 0.0000
0.6710 0.6710 0.0000
0.0860 0.0860 0.0000
0.9140 0.9140 0.0000
```

=====

This entry pairs a crystal structure of ThPaSb with its calculated powder X-ray diffraction pattern. Radiation: Cu Kα. Structure: a GGA-PBE-relaxed structure.

Principal peaks in the range 5° ≤ 2θ ≤ 70°, low angle first:
2θ (°)  I (rel.)
23.3  22
30.5  80
34.8  100
43.6  31
48.2  11
57.0  50
63.4  10
65.0  11

Structural model:
```
ThPaSb
1.0
4.1476 0.0000 0.0000
0.0000 4.1476 0.0000
0.0000 0.0000 9.8656
Th Pa Sb
2 2 2
Direct
0.0000 0.0000 0.0000
0.5000 0.5000 0.5000
0.0000 0.0000 0.7087
0.5000 0.5000 0.2087
0.0000 0.0000 0.3486
0.5000 0.5000 0.8486
```

=====

This entry pairs a crystal structure of Tb4Pr3Cd4 with its calculated powder X-ray diffraction pattern. Radiation: Cu Kα. Structure: a GGA-PBE-relaxed structure.

Principal peaks in the range 5° ≤ 2θ ≤ 70°, low angle first:
2θ (°)  I (rel.)
28.7  26
29.3  28
30.0  100
30.9  26
31.3  23
33.4  53
33.6  33
39.8  32

Structural model:
```
Tb4Pr3Cd4
1.0
-2.6828 3.6534 8.5768
2.6828 -3.6534 8.5768
2.6828 3.6534 -8.5768
Tb Pr Cd
4 3 4
Direct
0.0515 0.8200 0.2316
0.4116 0.1800 0.2316
0.5884 0.8200 0.7684
0.9485 0.1800 0.7684
0.0000 0.5000 0.5000
0.3935 0.3935 0.0000
0.6065 0.6065 0.0000
0.1844 0.6844 0.5000
0.2993 0.0000 0.2993
0.7007 0.0000 0.7007
0.8156 0.3156 0.5000
```

=====

This entry pairs a crystal structure of SeIO2 with its calculated powder X-ray diffraction pattern. Radiation: Cu Kα. Structure: a GGA-PBE-relaxed structure.

Principal peaks in the range 5° ≤ 2θ ≤ 70°, low angle first:
2θ (°)  I (rel.)
28.7  100
33.8  7
41.1  13
50.9  40
54.2  2
59.5  16
67.4  11
67.4  6

Structural model:
```
SeIO2
1.0
6.2104 0.0000 0.0000
0.0000 6.2104 0.0000
0.0000 0.0000 8.7971
Se I O
4 4 8
Direct
0.0000 0.0000 0.0000
0.0000 0.5000 0.2500
0.5000 0.0000 0.7500
0.5000 0.5000 0.5000
0.0000 0.0000 0.5000
0.0000 0.5000 0.7500
0.5000 0.0000 0.2500
0.5000 0.5000 0.0000
0.0009 0.2500 0.1250
0.2500 0.5009 0.3750
0.2500 0.9991 0.8750
0.4991 0.2500 0.6250
0.5009 0.7500 0.6250
0.7500 0.0009 0.8750
0.7500 0.4991 0.3750
0.9991 0.7500 0.1250
```

=====

This entry pairs a crystal structure of Mg5Zn5Pd2 with its calculated powder X-ray diffraction pattern. Radiation: Cu Kα. Structure: a GGA-PBE-relaxed structure.

Principal peaks in the range 5° ≤ 2θ ≤ 70°, low angle first:
2θ (°)  I (rel.)
20.0  34
21.8  83
26.1  30
36.5  22
38.2  33
40.0  100
40.5  39
41.0  54

Structural model:
```
Mg5Zn5Pd2
1.0
6.9730 -2.2005 0.0000
6.9730 2.2005 0.0000
-5.5338 0.0000 6.9655
Mg Zn Pd
5 5 2
Direct
0.0000 0.0000 0.0000
0.1378 0.1378 0.8437
0.1651 0.1651 0.5070
0.8349 0.8349 0.4930
0.8622 0.8622 0.1563
0.2645 0.2645 0.2505
0.4575 0.4575 0.7385
0.5000 0.5000 0.5000
0.5425 0.5425 0.2615
0.7355 0.7355 0.7495
0.3542 0.3542 0.9023
0.6458 0.6458 0.0977
```

=====

This entry pairs a crystal structure of ThIn2Ge2Pt7 with its calculated powder X-ray diffraction pattern. Radiation: Cu Kα. Structure: a GGA-PBE-relaxed structure.

Principal peaks in the range 5° ≤ 2θ ≤ 70°, low angle first:
2θ (°)  I (rel.)
6.0  100
30.1  28
33.5  28
34.6  37
35.2  44
36.2  50
42.7  29
44.9  70

Structural model:
```
ThIn2Ge2Pt7
1.0
2.8531 -2.8706 0.0000
2.8531 2.8706 0.0000
-1.7005 0.0000 14.8285
Th In Ge Pt
1 2 2 7
Direct
0.0000 0.0000 0.0000
0.1140 0.1140 0.4095
0.8860 0.8860 0.5905
0.4196 0.4196 0.7458
0.5804 0.5804 0.2542
0.0487 0.5474 0.1522
0.3900 0.3900 0.5827
0.4526 0.9513 0.8478
0.5000 0.5000 0.0000
0.5474 0.0487 0.1522
0.6100 0.6100 0.4173
0.9513 0.4526 0.8478
```

=====

This entry pairs a crystal structure of OsRuPt with its calculated powder X-ray diffraction pattern. Radiation: Cu Kα. Structure: a GGA-PBE-relaxed structure.

Principal peaks in the range 5° ≤ 2θ ≤ 70°, low angle first:
2θ (°)  I (rel.)
36.5  62
39.9  45
41.8  22
42.4  100
42.6  83
44.8  24
46.6  48
67.2  26

Structural model:
```
OsRuPt
1.0
2.7297 0.0000 0.0000
0.0000 9.0456 0.0000
0.0000 0.0000 7.2580
Os Ru Pt
4 4 4
Direct
0.0000 0.0871 0.0000
0.0000 0.9129 0.5000
0.5000 0.4129 0.5000
0.5000 0.5871 0.0000
0.0000 0.3731 0.8115
0.0000 0.6269 0.3115
0.5000 0.1269 0.3115
0.5000 0.8731 0.8115
0.0000 0.3574 0.1776
0.0000 0.6426 0.6776
0.5000 0.1426 0.6776
0.5000 0.8574 0.1776
```

=====

This entry pairs a crystal structure of Ac2SiHPd6 with its calculated powder X-ray diffraction pattern. Radiation: Cu Kα. Structure: a GGA-PBE-relaxed structure.

Principal peaks in the range 5° ≤ 2θ ≤ 70°, low angle first:
2θ (°)  I (rel.)
30.0  43
30.4  17
33.6  15
36.3  100
39.4  20
40.4  70
59.6  15
62.4  25

Structural model:
```
Ac2SiHPd6
1.0
5.1577 -2.9781 0.0000
5.1577 2.9781 0.0000
-3.4551 0.0000 5.9585
Ac Si H Pd
2 1 1 6
Direct
0.2306 0.2306 0.1926
0.7694 0.7694 0.8074
0.5000 0.5000 0.0000
0.0000 0.0000 0.5000
0.2314 0.2314 0.6930
0.2319 0.7319 0.6947
0.2681 0.7681 0.3053
0.7319 0.2319 0.6947
0.7681 0.2681 0.3053
0.7686 0.7686 0.3070
```

=====

This entry pairs a crystal structure of Rb2PtCl6 with its calculated powder X-ray diffraction pattern. Radiation: Cu Kα. Structure: a GGA-PBE-relaxed structure.

Principal peaks in the range 5° ≤ 2θ ≤ 70°, low angle first:
2θ (°)  I (rel.)
15.0  100
24.7  85
29.0  44
35.2  64
43.4  37
46.2  24
50.6  42
53.1  23

Structural model:
```
Rb2PtCl6
1.0
0.0000 5.1050 5.1050
5.1050 0.0000 5.1050
5.1050 5.1050 0.0000
Rb Pt Cl
2 1 6
Direct
0.2500 0.2500 0.2500
0.7500 0.7500 0.7500
0.0000 0.0000 0.0000
0.2304 0.2304 0.7696
0.2304 0.7696 0.2304
0.2304 0.7696 0.7696
0.7696 0.2304 0.2304
0.7696 0.2304 0.7696
0.7696 0.7696 0.2304
```

=====

This entry pairs a crystal structure of LiPmDy2Se5 with its calculated powder X-ray diffraction pattern. Radiation: Cu Kα. Structure: a GGA-PBE-relaxed structure.

Principal peaks in the range 5° ≤ 2θ ≤ 70°, low angle first:
2θ (°)  I (rel.)
22.4  13
31.1  100
32.2  32
34.2  14
37.2  65
44.3  26
44.8  13
55.8  13

Structural model:
```
LiPmDy2Se5
1.0
4.0873 0.0000 0.0000
0.0000 12.5010 0.0000
-2.0428 0.0000 8.5513
Li Pm Dy Se
2 2 4 10
Direct
0.0114 0.0000 0.0212
0.9886 0.5000 0.9788
0.3059 0.4848 0.6119
0.6941 0.9848 0.3881
0.3780 0.1932 0.7558
0.3904 0.8000 0.7810
0.6096 0.3000 0.2190
0.6220 0.6932 0.2442
0.0009 0.1961 0.0017
0.1368 0.4792 0.2736
0.1922 0.1506 0.3843
0.2111 0.8179 0.4223
0.4573 0.4049 0.9159
0.5427 0.9049 0.0841
0.7889 0.3179 0.5777
0.8078 0.6506 0.6157
0.8632 0.9792 0.7264
0.9991 0.6961 0.9983
```

=====

This entry pairs a crystal structure of Bi2SbSe2 with its calculated powder X-ray diffraction pattern. Radiation: Cu Kα. Structure: a GGA-PBE-relaxed structure.

Principal peaks in the range 5° ≤ 2θ ≤ 70°, low angle first:
2θ (°)  I (rel.)
19.1  55
21.9  49
25.1  96
29.5  100
31.0  81
32.0  47
41.1  48
41.8  59

Structural model:
```
Bi2SbSe2
1.0
5.8252 0.0000 0.0000
0.0000 4.2204 0.0000
-1.8011 0.0000 13.0772
Bi Sb Se
4 2 4
Direct
0.2085 0.2500 0.1793
0.2788 0.2500 0.5858
0.7212 0.7500 0.4142
0.7915 0.7500 0.8207
0.2525 0.7500 0.0193
0.7475 0.2500 0.9807
0.2243 0.7500 0.4185
0.3124 0.7500 0.7400
0.6876 0.2500 0.2600
0.7757 0.2500 0.5815
```

=====

This entry pairs a crystal structure of RbDyBi2 with its calculated powder X-ray diffraction pattern. Radiation: Cu Kα. Structure: a GGA-PBE-relaxed structure.

Principal peaks in the range 5° ≤ 2θ ≤ 70°, low angle first:
2θ (°)  I (rel.)
8.9  28
30.0  100
34.0  41
36.4  28
48.9  15
50.6  16
58.5  31
62.4  16

Structural model:
```
RbDyBi2
1.0
3.7238 0.0000 0.0000
0.0000 3.7238 0.0000
0.0000 0.0000 9.8971
Rb Dy Bi
1 1 2
Direct
0.0000 0.0000 0.0000
0.0000 0.0000 0.5000
0.5000 0.5000 0.2864
0.5000 0.5000 0.7136
```

=====

This entry pairs a crystal structure of PmSm12Y5 with its calculated powder X-ray diffraction pattern. Radiation: Cu Kα. Structure: a GGA-PBE-relaxed structure.

Principal peaks in the range 5° ≤ 2θ ≤ 70°, low angle first:
2θ (°)  I (rel.)
11.6  3
25.3  2
30.3  100
35.1  51
50.5  36
60.0  28
60.1  14
63.0  12

Structural model:
```
PmSm12Y5
1.0
7.6531 -7.6720 0.0000
7.6531 7.6720 0.0000
0.0000 0.0000 5.1150
Pm Sm Y
1 12 5
Direct
0.0000 0.0000 0.0000
0.9998 0.3337 0.0000
0.0002 0.6663 0.0000
0.1668 0.1668 0.5000
0.1671 0.4999 0.5000
0.3337 0.9998 0.0000
0.3336 0.3336 0.0000
0.4999 0.1671 0.5000
0.5001 0.8329 0.5000
0.6663 0.0002 0.0000
0.6664 0.6664 0.0000
0.8329 0.5001 0.5000
0.8332 0.8332 0.5000
0.1673 0.8327 0.5000
0.3336 0.6664 0.0000
0.5000 0.5000 0.5000
0.6664 0.3336 0.0000
0.8327 0.1673 0.5000
```